(1)
This entry pairs a crystal structure of LaDy4In4 with its computed X-ray diffraction stick pattern. Radiation: Cu Ka. Structure: a cell relaxed with GGA-PBE.
No peak broadening, texture or thermal motion is included.

Cell and atoms:
```
LaDy4In4
1.0
7.3224 0.0000 0.0000
0.0000 7.3224 0.0000
0.0000 0.0000 10.5544
La Dy In
2 8 8
Direct
0.2500 0.7500 0.2500 La
0.7500 0.2500 0.7500 La
0.0152 0.2500 0.1574 Dy
0.2500 0.0152 0.6574 Dy
0.2500 0.4848 0.6574 Dy
0.4848 0.2500 0.1574 Dy
0.5152 0.7500 0.8426 Dy
0.7500 0.5152 0.3426 Dy
0.7500 0.9848 0.3426 Dy
0.9848 0.7500 0.8426 Dy
0.0417 0.2500 0.4547 In
0.2500 0.0417 0.9547 In
0.2500 0.4583 0.9547 In
0.4583 0.2500 0.4547 In
0.5417 0.7500 0.5453 In
0.7500 0.5417 0.0453 In
0.7500 0.9583 0.0453 In
0.9583 0.7500 0.5453 In
```

Most intense lines, 10 to 80 degrees two-theta, in order of rising 2θ:
d (Å)	I (rel.)
6.016	22
3.128	100
2.589	49
2.537	95
2.482	29
1.831	27
1.609	22
1.484	28

=====

(2)
This entry pairs a crystal structure of La2Dy3In with its computed X-ray diffraction stick pattern. Radiation: Cu Ka. Structure: a cell relaxed with GGA-PBE.
No peak broadening, texture or thermal motion is included.

Cell and atoms:
```
La2Dy3In
1.0
8.7847 -3.1780 0.0000
8.7847 3.1780 0.0000
0.0000 0.0000 6.9811
La Dy In
4 6 2
Direct
0.1483 0.2143 0.2500 La
0.2143 0.1483 0.7500 La
0.7857 0.8517 0.2500 La
0.8517 0.7857 0.7500 La
0.1779 0.8221 0.2500 Dy
0.3647 0.3647 0.0000 Dy
0.3647 0.3647 0.5000 Dy
0.6353 0.6353 0.0000 Dy
0.6353 0.6353 0.5000 Dy
0.8221 0.1779 0.7500 Dy
0.3074 0.6926 0.7500 In
0.6926 0.3074 0.2500 In
```

Most intense lines, 10 to 80 degrees two-theta, in order of rising 2θ:
d (Å)	I (rel.)
3.075	44
3.014	67
2.988	41
2.928	50
2.733	62
2.712	100
2.575	51
1.605	41

=====

(3)
This entry pairs a crystal structure of La8DyIn2 with its computed X-ray diffraction stick pattern. Radiation: Cu Ka. Structure: a cell relaxed with GGA-PBE.
No peak broadening, texture or thermal motion is included.

Cell and atoms:
```
La8DyIn2
1.0
-2.6531 4.5777 7.8485
2.6531 -4.5777 7.8485
2.6531 4.5777 -7.8485
La Dy In
8 1 2
Direct
0.1250 0.3410 0.7839 La
0.1493 0.1493 0.0000 La
0.3295 0.0000 0.3295 La
0.4429 0.6590 0.7839 La
0.5571 0.3410 0.2161 La
0.6705 0.0000 0.6705 La
0.8507 0.8507 0.0000 La
0.8750 0.6590 0.2161 La
0.0000 0.5000 0.5000 Dy
0.3023 0.8023 0.5000 In
0.6977 0.1977 0.5000 In
```

Most intense lines, 10 to 80 degrees two-theta, in order of rising 2θ:
d (Å)	I (rel.)
2.996	17
2.983	30
2.890	100
2.653	28
2.616	19
1.863	14
1.573	16
1.494	11

=====

(4)
This entry pairs a crystal structure of LaDy6In2 with its computed X-ray diffraction stick pattern. Radiation: Cu Ka. Structure: a cell relaxed with GGA-PBE.
No peak broadening, texture or thermal motion is included.

Cell and atoms:
```
LaDy6In2
1.0
-3.1139 3.1139 7.6420
3.1139 -3.1139 7.6420
3.1139 3.1139 -7.6420
La Dy In
1 6 2
Direct
0.0000 0.0000 0.0000 La
0.2332 0.5970 0.0000 Dy
0.2500 0.7500 0.5000 Dy
0.4030 0.4030 0.6362 Dy
0.5970 0.2332 0.0000 Dy
0.7500 0.2500 0.5000 Dy
0.7668 0.7668 0.3638 Dy
0.2185 0.2185 0.0000 In
0.7815 0.7815 0.0000 In
```

Most intense lines, 10 to 80 degrees two-theta, in order of rising 2θ:
d (Å)	I (rel.)
3.816	100
2.885	87
2.742	86
2.444	37
2.414	66
2.202	38
2.058	39
1.504	34

=====

(5)
This entry pairs a crystal structure of La3DyIn2 with its computed X-ray diffraction stick pattern. Radiation: Cu Ka. Structure: a cell relaxed with GGA-PBE.
No peak broadening, texture or thermal motion is included.

Cell and atoms:
```
La3DyIn2
1.0
5.3281 0.0000 0.0000
0.0000 10.3821 0.0000
0.0000 0.0000 6.9034
La Dy In
6 2 4
Direct
0.0000 0.0458 0.0000 La
0.0000 0.3217 0.3762 La
0.0000 0.6783 0.8762 La
0.0000 0.9542 0.5000 La
0.5000 0.1842 0.7611 La
0.5000 0.8158 0.2611 La
0.5000 0.4589 0.1089 Dy
0.5000 0.5411 0.6089 Dy
0.0000 0.3678 0.8612 In
0.0000 0.6322 0.3612 In
0.5000 0.1428 0.2707 In
0.5000 0.8572 0.7707 In
```

Most intense lines, 10 to 80 degrees two-theta, in order of rising 2θ:
d (Å)	I (rel.)
2.900	100
2.874	19
2.790	50
2.675	16
2.664	38
2.444	15
1.954	13
1.580	16

=====

(6)
This entry pairs a crystal structure of La8DyIn2 with its computed X-ray diffraction stick pattern. Radiation: Cu Ka. Structure: a cell relaxed with GGA-PBE.
No peak broadening, texture or thermal motion is included.

Cell and atoms:
```
La8DyIn2
1.0
7.6663 -4.4770 0.0000
7.6663 4.4770 0.0000
-1.0677 0.0000 5.7249
La Dy In
8 1 2
Direct
0.0223 0.6618 0.2341 La
0.0526 0.0526 0.2605 La
0.3382 0.9777 0.7659 La
0.3855 0.3855 0.8993 La
0.6145 0.6145 0.1007 La
0.6618 0.0223 0.2341 La
0.9474 0.9474 0.7395 La
0.9777 0.3382 0.7659 La
0.5000 0.5000 0.5000 Dy
0.2645 0.2645 0.3402 In
0.7355 0.7355 0.6598 In
```

Most intense lines, 10 to 80 degrees two-theta, in order of rising 2θ:
d (Å)	I (rel.)
4.477	44
3.342	45
3.064	37
2.912	73
2.860	26
2.769	79
2.755	100
2.568	58

=====

(7)
This entry pairs a crystal structure of La3Dy2In3 with its computed X-ray diffraction stick pattern. Radiation: Cu Ka. Structure: a cell relaxed with GGA-PBE.
No peak broadening, texture or thermal motion is included.

Cell and atoms:
```
La3Dy2In3
1.0
3.8978 0.0000 0.0000
0.0000 5.5751 0.0000
0.0000 0.0000 23.0104
La Dy In
6 4 6
Direct
0.0000 0.0000 0.0000 La
0.0000 0.5000 0.1233 La
0.0000 0.5000 0.8767 La
0.5000 0.0000 0.3767 La
0.5000 0.0000 0.6233 La
0.5000 0.5000 0.5000 La
0.0000 0.0000 0.2348 Dy
0.0000 0.0000 0.7652 Dy
0.5000 0.5000 0.2652 Dy
0.5000 0.5000 0.7348 Dy
0.0000 0.0000 0.5000 In
0.0000 0.5000 0.3756 In
0.0000 0.5000 0.6244 In
0.5000 0.0000 0.1244 In
0.5000 0.0000 0.8756 In
0.5000 0.5000 0.0000 In
```

Most intense lines, 10 to 80 degrees two-theta, in order of rising 2θ:
d (Å)	I (rel.)
2.876	19
2.792	100
2.002	13
1.949	7
1.644	11
1.610	15
1.597	8
1.396	9

=====

(8)
This entry pairs a crystal structure of La3Dy4In2 with its computed X-ray diffraction stick pattern. Radiation: Cu Ka. Structure: a cell relaxed with GGA-PBE.
No peak broadening, texture or thermal motion is included.

Cell and atoms:
```
La3Dy4In2
1.0
6.6295 -6.7914 0.0000
6.6295 6.7914 0.0000
-0.5931 0.0000 6.4656
La Dy In
6 8 4
Direct
0.0356 0.9644 0.7500 La
0.3224 0.4640 0.4118 La
0.4640 0.3224 0.9118 La
0.5360 0.6776 0.0882 La
0.6776 0.5360 0.5882 La
0.9644 0.0356 0.2500 La
0.0172 0.6749 0.4109 Dy
0.1714 0.6084 0.9180 Dy
0.3251 0.9828 0.0891 Dy
0.3916 0.8286 0.5820 Dy
0.6084 0.1714 0.4180 Dy
0.6749 0.0172 0.9109 Dy
0.8286 0.3916 0.0820 Dy
0.9828 0.3251 0.5891 Dy
0.1376 0.2799 0.0372 In
0.2799 0.1376 0.5372 In
0.7201 0.8624 0.4628 In
0.8624 0.7201 0.9628 In
```

Most intense lines, 10 to 80 degrees two-theta, in order of rising 2θ:
d (Å)	I (rel.)
3.006	67
2.913	91
2.804	100
2.781	76
2.693	92
2.674	41
2.592	54
1.819	38

=====

(9)
This entry pairs a crystal structure of La3DyIn4 with its computed X-ray diffraction stick pattern. Radiation: Cu Ka. Structure: a cell relaxed with GGA-PBE.
No peak broadening, texture or thermal motion is included.

Cell and atoms:
```
La3DyIn4
1.0
3.8755 0.0000 0.0000
0.0000 3.8755 0.0000
0.0000 0.0000 15.8619
La Dy In
3 1 4
Direct
0.0000 0.0000 0.0000 La
0.0000 0.0000 0.2578 La
0.0000 0.0000 0.7422 La
0.0000 0.0000 0.5000 Dy
0.5000 0.5000 0.1290 In
0.5000 0.5000 0.3890 In
0.5000 0.5000 0.6110 In
0.5000 0.5000 0.8710 In
```

Most intense lines, 10 to 80 degrees two-theta, in order of rising 2θ:
d (Å)	I (rel.)
2.772	100
2.740	50
1.983	8
1.938	18
1.606	17
1.588	37
1.386	10
1.226	8

=====

(10)
This entry pairs a crystal structure of LaDy4In with its computed X-ray diffraction stick pattern. Radiation: Cu Ka. Structure: a cell relaxed with GGA-PBE.
No peak broadening, texture or thermal motion is included.

Cell and atoms:
```
LaDy4In
1.0
5.5213 0.0000 0.0000
0.0000 6.8719 0.0000
0.0000 0.0000 9.7452
La Dy In
2 8 2
Direct
0.2500 0.2500 0.0730 La
0.7500 0.7500 0.9270 La
0.2500 0.2500 0.4201 Dy
0.2500 0.5037 0.7382 Dy
0.2500 0.7500 0.1154 Dy
0.2500 0.9963 0.7382 Dy
0.7500 0.0037 0.2618 Dy
0.7500 0.2500 0.8846 Dy
0.7500 0.4963 0.2618 Dy
0.7500 0.7500 0.5799 Dy
0.2500 0.7500 0.4320 In
0.7500 0.2500 0.5680 In
```

Most intense lines, 10 to 80 degrees two-theta, in order of rising 2θ:
d (Å)	I (rel.)
2.802	100
2.795	70
2.761	36
1.987	12
1.969	23
1.613	12
1.601	26
1.464	19

=====

(11)
This entry pairs a crystal structure of La2NdDyIn2 with its computed X-ray diffraction stick pattern. Radiation: Cu Ka. Structure: a cell relaxed with GGA-PBE.
No peak broadening, texture or thermal motion is included.

Cell and atoms:
```
La2NdDyIn2
1.0
5.2417 0.0000 0.0000
0.0000 10.3342 0.0000
0.0000 0.0000 6.9098
La Nd Dy In
4 2 2 4
Direct
0.0000 0.0578 0.0000 La
0.0000 0.9422 0.5000 La
0.5000 0.1785 0.2302 La
0.5000 0.8215 0.7302 La
0.5000 0.4579 0.8738 Nd
0.5000 0.5421 0.3738 Nd
0.0000 0.3091 0.5970 Dy
0.0000 0.6909 0.0970 Dy
0.0000 0.3810 0.1383 In
0.0000 0.6190 0.6383 In
0.5000 0.1471 0.7141 In
0.5000 0.8529 0.2141 In
```

Most intense lines, 10 to 80 degrees two-theta, in order of rising 2θ:
d (Å)	I (rel.)
3.083	16
2.881	100
2.872	14
2.778	44
2.657	23
2.621	38
2.439	15
1.559	16

=====

(12)
This entry pairs a crystal structure of La2Tb6Dy3In with its computed X-ray diffraction stick pattern. Radiation: Cu Ka. Structure: a cell relaxed with GGA-PBE.
No peak broadening, texture or thermal motion is included.

Cell and atoms:
```
La2Tb6Dy3In
1.0
3.0652 -5.3102 0.0000
3.0652 5.3102 0.0000
-2.0487 0.0000 11.6213
La Tb Dy In
2 6 3 1
Direct
0.1662 0.8338 0.0000 La
0.8338 0.1662 0.0000 La
0.0904 0.4165 0.7485 Tb
0.2577 0.2577 0.2522 Tb
0.4165 0.0904 0.7485 Tb
0.5835 0.9096 0.2515 Tb
0.7423 0.7423 0.7478 Tb
0.9096 0.5835 0.2515 Tb
0.0000 0.0000 0.5000 Dy
0.3331 0.6669 0.5000 Dy
0.6669 0.3331 0.5000 Dy
0.5000 0.5000 0.0000 In
```

Most intense lines, 10 to 80 degrees two-theta, in order of rising 2θ:
d (Å)	I (rel.)
2.905	34
2.892	100
2.507	68
1.776	24
1.770	24
1.515	14
1.511	38
1.446	12

=====

(13)
This entry pairs a crystal structure of LaDyYIn with its computed X-ray diffraction stick pattern. Radiation: Cu Ka. Structure: a cell relaxed with GGA-PBE.
No peak broadening, texture or thermal motion is included.

Cell and atoms:
```
LaDyYIn
1.0
7.8561 0.0000 0.0000
0.0000 7.8561 0.0000
0.0000 0.0000 7.8561
La Dy Y In
4 4 4 4
Direct
0.0000 0.0000 0.0000 La
0.0000 0.5000 0.5000 La
0.5000 0.0000 0.5000 La
0.5000 0.5000 0.0000 La
0.2500 0.2500 0.7500 Dy
0.2500 0.7500 0.2500 Dy
0.7500 0.2500 0.2500 Dy
0.7500 0.7500 0.7500 Dy
0.0000 0.0000 0.5000 Y
0.0000 0.5000 0.0000 Y
0.5000 0.0000 0.0000 Y
0.5000 0.5000 0.5000 Y
0.2500 0.2500 0.2500 In
0.2500 0.7500 0.7500 In
0.7500 0.2500 0.7500 In
0.7500 0.7500 0.2500 In
```

Most intense lines, 10 to 80 degrees two-theta, in order of rising 2θ:
d (Å)	I (rel.)
4.536	3
3.928	1
2.778	100
2.369	2
1.964	18
1.604	38
1.389	12
1.242	16